(1)
Calculated powder diffractogram of LiTe4H4O6F8 for Cu Ka, from the GGA-PBE geometry in Alexandria.
Kinematic intensities with the Lorentz-polarization factor, no thermal factor.

Most intense lines, 10 to 90 degrees two-theta, sorted by position:
| 2theta | d (Å) | Rel. int. |
| --- | --- | --- |
| 17.7 | 5.017 | 42 |
| 18.1 | 4.904 | 27 |
| 18.6 | 4.761 | 83 |
| 20.6 | 4.318 | 39 |
| 21.6 | 4.119 | 100 |
| 21.7 | 4.099 | 25 |
| 21.8 | 4.078 | 26 |
| 22.8 | 3.909 | 68 |
| 31.3 | 2.855 | 21 |
| 41.9 | 2.157 | 20 |

Cell and atoms:
a b c (Å): 5.539 6.219 11.537
angles (deg): 82.60 78.11 66.80
Atoms (fractional coordinates):
Li: 0.000 0.000 0.000
Te: 0.011 0.135 0.731
Te: 0.115 0.616 0.481
Te: 0.644 0.622 0.946
Te: 0.928 0.102 0.277
H: 0.422 0.028 0.020
H: 0.432 0.628 0.601
H: 0.442 0.122 0.605
H: 0.837 0.638 0.116
O: 0.162 0.799 0.329
O: 0.266 0.746 0.577
O: 0.275 0.253 0.634
O: 0.362 0.897 0.038
O: 0.823 0.505 0.083
O: 0.962 0.267 0.876
F: 0.084 0.251 0.370
F: 0.340 0.883 0.782
F: 0.420 0.443 0.018
F: 0.492 0.426 0.416
F: 0.761 0.455 0.669
F: 0.789 0.916 0.527
F: 0.830 0.929 0.157
F: 0.859 0.853 0.912



(2)
Calculated powder diffractogram of NaSiBr4 for Cu Ka, from the GGA-PBE geometry in Alexandria.
Kinematic intensities with the Lorentz-polarization factor, no thermal factor.

Most intense lines, 10 to 90 degrees two-theta, sorted by position:
| 2theta | d (Å) | Rel. int. |
| --- | --- | --- |
| 15.3 | 5.774 | 28 |
| 24.7 | 3.607 | 100 |
| 26.2 | 3.406 | 23 |
| 30.5 | 2.933 | 20 |
| 37.3 | 2.408 | 14 |
| 38.6 | 2.333 | 13 |
| 42.5 | 2.126 | 26 |
| 45.3 | 2.003 | 19 |
| 48.9 | 1.861 | 12 |
| 54.0 | 1.698 | 11 |

Cell and atoms:
a b c (Å): 7.268 7.268 7.268
angles (deg): 124.11 124.11 83.01
Atoms (fractional coordinates):
Na: 0.000 0.000 0.000
Si: 0.750 0.250 0.500
Br: 0.094 0.567 0.916
Br: 0.433 0.348 0.527
Br: 0.652 0.178 0.084
Br: 0.822 0.906 0.473